For Pr7CdRh4, a cell relaxed with GGA-PBE gives the simulated PXRD pattern in this record (CuKα).

Principal peaks in the range 10 to 90 degrees two-theta, by intensity:
h k l  d [Å]  2theta  I (rel.)
0 2 0  2.901  30.83  1000
3 1 1  2.562  35.03  727
5 1 -3  2.400  37.47  653
4 2 -3  2.085  43.40  396
3 1 -3  2.841  31.49  384
4 0 -3  2.999  29.79  370
1 1 2  2.850  31.38  349
5 1 -1  2.376  37.86  260

Structural model:
Unit cell a=13.846 b=5.801 c=9.924 alpha=90.00 beta=125.07 gamma=90.00
Space group C2/m (No. 12)
Symmetry-distinct sites (fractional):
Pr (0.000, 0.000, 0.000)
Pr (0.080, 0.500, 0.378)
Pr (0.175, 0.000, 0.624)
Pr (0.205, 0.500, 0.885)
Cd (0.000, 0.500, 0.000)
Rh (0.065, 0.000, 0.776)
Rh (0.202, 0.000, 0.337)